Diffraction record for Cs2LiWO4. The X-ray diffraction stick pattern is simulated, not measured: it uses a structure optimized by DFT (GGA+U) and Cu Kα (weighted mean of Kα1 and Kα2).
No peak broadening, texture or thermal motion is included.

The 10 most intense peaks (10 to 90 degrees two-theta), by angle:
d = 4.819 Å, 18.41 deg, rel. 100; d = 3.371 Å, 26.44 deg, rel. 40; d = 3.269 Å, 27.28 deg, rel. 80; d = 3.237 Å, 27.56 deg, rel. 44; d = 3.089 Å, 28.90 deg, rel. 36; d = 2.669 Å, 33.58 deg, rel. 38; d = 2.464 Å, 36.47 deg, rel. 32; d = 2.204 Å, 40.96 deg, rel. 31; d = 1.794 Å, 50.90 deg, rel. 30; d = 1.635 Å, 56.28 deg, rel. 25

Crystal structure
a = 5.373 Å, b = 12.358 Å, c = 23.115 Å
α = 90.00°, β = 90.00°, γ = 90.00°
Space group Fddd (No. 70, origin choice 2)
Unique sites:
Cs (0.125, 0.125, 0.294)
Li (0.125, 0.125, 0.625)
W (0.125, 0.125, 0.125)
O (0.106, 0.309, 0.425)